Computed powder X-ray diffraction pattern
Compound: Sb4O5F2
Radiation: Cu Kα (λ = 1.5418 Å)
Structure: a structure optimized by DFT (PBE)
No peak broadening, texture or thermal motion is included.

The 6 most intense peaks (10 to 80 degrees two-theta), sorted by position:
d = 3.589 Å, intensity 58, (0 1 3)
d = 3.073 Å, intensity 27, (3 0 -3)
d = 3.039 Å, intensity 100, (3 1 0)
d = 2.956 Å, intensity 66, (1 1 -4)
d = 2.811 Å, intensity 30, (0 2 0)
d = 2.074 Å, intensity 26, (3 2 -3)

Atomic structure:
```
Sb4O5F2
1.0
10.941 0.000 0.000
0.000 5.622 0.000
-2.002 0.000 13.986
Sb O F
16 20 8
Direct
0.066 0.000 0.424
0.099 0.001 0.704
0.207 0.542 0.179
0.267 0.450 0.907
0.302 0.453 0.627
0.356 0.038 0.310
0.395 0.909 0.040
0.417 0.942 0.774
0.583 0.442 0.226
0.605 0.409 0.960
0.644 0.538 0.690
0.698 0.953 0.373
0.733 0.950 0.093
0.793 0.042 0.821
0.901 0.501 0.296
0.934 0.500 0.576
0.040 0.792 0.586
0.075 0.271 0.604
0.254 0.781 0.712
0.268 0.235 0.736
0.303 0.582 0.044
0.326 0.280 0.208
0.337 0.792 0.209
0.392 0.769 0.900
0.429 0.264 0.921
0.463 0.586 0.705
0.537 0.086 0.295
0.571 0.764 0.079
0.608 0.269 0.100
0.663 0.292 0.791
0.674 0.780 0.792
0.697 0.082 0.956
0.732 0.735 0.264
0.746 0.281 0.288
0.925 0.771 0.396
0.960 0.292 0.414
0.080 0.024 0.281
0.191 0.551 0.324
0.198 0.132 0.957
0.418 0.179 0.595
0.582 0.679 0.405
0.802 0.632 0.043
0.809 0.051 0.676
0.920 0.524 0.719
```